Entry 1:
For PrHgSeO, DFT lattice parameters and positions (PBE) gives the calculated PXRD pattern in this record (Cu Kα X-rays).
No peak broadening, texture or thermal motion is included.

a = 5.878 Å, b = 5.896 Å, c = 11.648 Å
α = 90.00°, β = 93.92°, γ = 90.00°
Fractional coordinates of all 16 atoms:
Pr1 0.009 0.000 0.099
Pr2 0.487 0.003 0.899
Pr3 0.513 0.503 0.101
Pr4 0.991 0.500 0.901
Hg1 0.200 0.801 0.496
Hg2 0.482 0.061 0.328
Hg3 0.518 0.561 0.672
Hg4 0.800 0.301 0.504
Se1 0.170 0.358 0.284
Se2 0.218 0.261 0.701
Se3 0.782 0.761 0.299
Se4 0.830 0.858 0.716
O1 0.251 0.748 0.000
O2 0.254 0.247 0.999
O3 0.746 0.747 0.001
O4 0.749 0.248 0.000

Largest 6 diffraction maxima, in order of falling intensity, 10 to 80 degrees two-theta:
d = 3.306 Å, I 1000
d = 3.462 Å, I 805
d = 2.905 Å, I 492
d = 2.079 Å, I 432
d = 2.325 Å, I 338
d = 2.070 Å, I 287

***

Entry 2:
For Hf7N8, DFT lattice parameters and positions (PBE) gives the calculated PXRD pattern in this record (Cu Kα X-rays).
No peak broadening, texture or thermal motion is included.

a = 5.495 Å, b = 5.513 Å, c = 6.372 Å
α = 90.00°, β = 73.10°, γ = 80.30°
Fractional coordinates of all 15 atoms:
Hf1 0.000 0.000 0.000
Hf2 0.004 0.501 0.742
Hf3 0.480 0.751 0.134
Hf4 0.494 0.764 0.623
Hf5 0.506 0.236 0.377
Hf6 0.520 0.249 0.866
Hf7 0.996 0.499 0.258
N1 0.249 0.623 0.935
N2 0.258 0.610 0.437
N3 0.259 0.135 0.695
N4 0.262 0.130 0.174
N5 0.738 0.870 0.826
N6 0.741 0.865 0.305
N7 0.742 0.390 0.563
N8 0.751 0.377 0.065

Largest 6 diffraction maxima, in order of falling intensity, 10 to 80 degrees two-theta:
d = 2.599 Å, I 1000
d = 2.248 Å, I 933
d = 2.588 Å, I 325
d = 1.592 Å, I 312
d = 1.587 Å, I 304
d = 1.357 Å, I 235

***

Entry 3:
For NdNi, DFT lattice parameters and positions (PBE) gives the calculated PXRD pattern in this record (Cu Kα X-rays).
No peak broadening, texture or thermal motion is included.

a = 4.313 Å, b = 5.583 Å, c = 5.583 Å
α = 40.15°, β = 90.00°, γ = 90.00°
Fractional coordinates of all 4 atoms:
Nd1 0.000 0.000 0.000
Nd2 0.500 0.278 0.278
Ni1 0.000 0.712 0.712
Ni2 0.500 0.568 0.568

Largest 6 diffraction maxima, in order of falling intensity, 10 to 80 degrees two-theta:
d = 2.763 Å, I 1000
d = 2.216 Å, I 510
d = 2.583 Å, I 409
d = 3.331 Å, I 344
d = 2.157 Å, I 278
d = 2.622 Å, I 257

***

Entry 4:
For Nd2Ho2NCl5, DFT lattice parameters and positions (PBE) gives the calculated PXRD pattern in this record (Cu Kα X-rays).
No peak broadening, texture or thermal motion is included.

a = 8.729 Å, b = 8.729 Å, c = 8.052 Å
α = 103.32°, β = 103.32°, γ = 24.67°
Fractional coordinates of all 10 atoms:
Nd1 0.001 0.001 0.290
Nd2 0.999 0.999 0.710
Ho1 0.360 0.360 0.425
Ho2 0.640 0.640 0.575
N1 0.500 0.500 0.500
Cl1 0.169 0.169 0.825
Cl2 0.175 0.175 0.353
Cl3 0.500 0.500 0.000
Cl4 0.825 0.825 0.647
Cl5 0.831 0.831 0.175

Largest 6 diffraction maxima, in order of falling intensity, 10 to 80 degrees two-theta:
d = 7.825 Å, I 1000
d = 2.736 Å, I 804
d = 1.944 Å, I 364
d = 8.287 Å, I 355
d = 2.762 Å, I 297
d = 3.091 Å, I 264

***

Entry 5:
For Pb2AuI7, DFT lattice parameters and positions (PBE) gives the calculated PXRD pattern in this record (Cu Kα X-rays).
No peak broadening, texture or thermal motion is included.

a = 4.675 Å, b = 7.664 Å, c = 12.339 Å
α = 74.33°, β = 83.60°, γ = 72.77°
Fractional coordinates of all 10 atoms:
Pb1 0.161 0.272 0.360
Pb2 0.839 0.728 0.640
Au1 0.500 0.500 0.000
I1 0.200 0.028 0.636
I2 0.266 0.214 0.099
I3 0.479 0.595 0.197
I4 0.500 0.500 0.500
I5 0.521 0.405 0.803
I6 0.734 0.786 0.901
I7 0.800 0.972 0.364

Largest 6 diffraction maxima, in order of falling intensity, 10 to 80 degrees two-theta:
d = 3.377 Å, I 1000
d = 6.891 Å, I 943
d = 3.020 Å, I 575
d = 4.225 Å, I 478
d = 2.950 Å, I 442
d = 2.700 Å, I 394

***

Entry 6:
For Pr2Sc2CIBr4, DFT lattice parameters and positions (PBE) gives the calculated PXRD pattern in this record (Cu Kα X-rays).
No peak broadening, texture or thermal motion is included.

a = 9.299 Å, b = 9.299 Å, c = 9.013 Å
α = 102.82°, β = 102.82°, γ = 23.85°
Fractional coordinates of all 10 atoms:
Pr1 0.000 0.000 0.196
Pr2 0.000 0.000 0.804
Sc1 0.373 0.373 0.940
Sc2 0.627 0.627 0.060
C1 0.500 0.500 0.000
I1 0.500 0.500 0.500
Br1 0.169 0.169 0.283
Br2 0.170 0.170 0.873
Br3 0.830 0.830 0.127
Br4 0.831 0.831 0.717

Largest 6 diffraction maxima, in order of falling intensity, 10 to 80 degrees two-theta:
d = 2.924 Å, I 1000
d = 2.954 Å, I 502
d = 2.364 Å, I 290
d = 8.778 Å, I 267
d = 2.093 Å, I 265
d = 2.064 Å, I 257

***

Entry 7:
For ZnAu15, DFT lattice parameters and positions (PBE) gives the calculated PXRD pattern in this record (Cu Kα X-rays).
No peak broadening, texture or thermal motion is included.

a = 5.831 Å, b = 4.150 Å, c = 37.678 Å
α = 90.00°, β = 90.04°, γ = 90.00°
Fractional coordinates of all 32 atoms:
Zn1 0.125 0.250 0.288
Zn2 0.875 0.750 0.712
Au1 0.118 0.250 0.738
Au2 0.124 0.250 0.822
Au3 0.125 0.250 0.059
Au4 0.125 0.250 0.138
Au5 0.125 0.250 0.217
Au6 0.125 0.250 0.901
Au7 0.125 0.250 0.980
Au8 0.368 0.750 0.262
Au9 0.374 0.750 0.178
Au10 0.375 0.750 0.020
Au11 0.375 0.750 0.099
Au12 0.375 0.750 0.707
Au13 0.375 0.750 0.784
Au14 0.375 0.750 0.862
Au15 0.375 0.750 0.941
Au16 0.625 0.250 0.059
Au17 0.625 0.250 0.138
Au18 0.625 0.250 0.216
Au19 0.625 0.250 0.293
Au20 0.625 0.250 0.901
Au21 0.625 0.250 0.980
Au22 0.626 0.250 0.822
Au23 0.632 0.250 0.738
Au24 0.875 0.750 0.020
Au25 0.875 0.750 0.099
Au26 0.875 0.750 0.783
Au27 0.875 0.750 0.862
Au28 0.875 0.750 0.941
Au29 0.876 0.750 0.178
Au30 0.882 0.750 0.262

Largest 6 diffraction maxima, in order of falling intensity, 10 to 80 degrees two-theta:
d = 2.384 Å, I 1000
d = 2.376 Å, I 551
d = 2.504 Å, I 446
d = 2.055 Å, I 362
d = 2.074 Å, I 342
d = 2.136 Å, I 284

***

Entry 8:
For Hf2GaN, DFT lattice parameters and positions (PBE) gives the calculated PXRD pattern in this record (Cu Kα X-rays).
No peak broadening, texture or thermal motion is included.

a = 3.208 Å, b = 3.208 Å, c = 13.922 Å
α = 90.00°, β = 90.00°, γ = 120.00°
Fractional coordinates of all 8 atoms:
Hf1 0.000 0.000 0.159
Hf2 0.000 0.000 0.841
Hf3 0.667 0.333 0.340
Hf4 0.667 0.333 0.660
Ga1 0.000 0.000 0.500
Ga2 0.667 0.333 0.000
N1 0.333 0.667 0.249
N2 0.333 0.667 0.751

Largest 6 diffraction maxima, in order of falling intensity, 10 to 80 degrees two-theta:
d = 2.384 Å, I 1000
d = 2.779 Å, I 226
d = 1.604 Å, I 211
d = 1.320 Å, I 187
d = 2.320 Å, I 184
d = 1.331 Å, I 159